Entry 1:
This entry pairs a crystal structure of Na2GeS3 with its simulated powder X-ray diffraction pattern. Radiation: λ = 1.5418 Å (Cu Kα). Structure: a DFT-relaxed cell (GGA-PBE, the Materials Project).
Intensities are scaled so that the largest is 100.

Main lines, in order of rising 2θ (2θ from 10° to 90°):
| h k l | 2θ/deg | d/Å | I (rel.) |
| --- | --- | --- | --- |
| 0 2 0 | 11.33 | 7.808 | 48 |
| 1 0 0 | 13.89 | 6.378 | 100 |
| 0 2 1 | 20.04 | 4.430 | 39 |
| 1 2 -1 | 20.28 | 4.378 | 53 |
| 0 3 1 | 23.78 | 3.741 | 26 |
| 2 2 0 | 30.28 | 2.952 | 52 |
| 1 0 -2 | 30.45 | 2.936 | 86 |
| 1 3 1 | 30.92 | 2.892 | 32 |
| 1 5 0 | 31.91 | 2.805 | 34 |
| 0 6 0 | 34.46 | 2.603 | 26 |
| 1 5 1 | 38.73 | 2.325 | 25 |
| 3 2 -2 | 43.95 | 2.060 | 24 |

Cell and atoms:
```
data_Na2GeS3
_chemical_formula_sum 'Na8 Ge4 S12'
_space_group_name_H-M_alt 'P 1 21/c 1'
_space_group_IT_number 14
_space_group_name_Hall '-P 2ybc'
_cell_length_a 6.9617
_cell_length_b 15.6153
_cell_length_c 5.8734
_cell_angle_alpha 90.00
_cell_angle_beta 113.64
_cell_angle_gamma 90.00
loop_
_atom_site_label
_atom_site_fract_x
_atom_site_fract_y
_atom_site_fract_z
_atom_site_occupancy
Na1 0.0489 0.1683 0.0169 1
Na2 0.2845 0.5304 0.1640 1
Ge1 0.4501 0.1715 0.6506 1
S1 0.1163 0.1437 0.5513 1
S2 0.3259 0.5688 0.6693 1
S3 0.4798 0.6929 0.1950 1
```

***

Entry 2:
This entry pairs a crystal structure of NaSm3GeS7 with its simulated powder X-ray diffraction pattern. Radiation: λ = 1.5418 Å (Cu Kα). Structure: a DFT-relaxed cell (GGA-PBE, the Materials Project).
Intensities are scaled so that the largest is 100.

Main lines, in order of rising 2θ (2θ from 10° to 90°):
| h k l | 2θ/deg | d/Å | I (rel.) |
| --- | --- | --- | --- |
| 2 0 0 | 20.20 | 4.395 | 31 |
| 1 1 1 | 23.16 | 3.840 | 27 |
| 2 0 1 | 25.31 | 3.519 | 100 |
| 1 2 0 | 26.83 | 3.322 | 21 |
| 0 0 2 | 30.44 | 2.936 | 19 |
| 3 0 1 | 34.20 | 2.622 | 19 |
| 2 2 0 | 35.36 | 2.539 | 56 |
| 1 3 0 | 36.84 | 2.440 | 63 |
| 3 1 1 | 40.04 | 2.252 | 29 |
| 1 2 2 | 41.03 | 2.200 | 32 |
| 2 2 2 | 47.36 | 1.920 | 21 |
| 1 4 1 | 50.01 | 1.824 | 25 |

Cell and atoms:
```
data_NaSm3GeS7
_chemical_formula_sum 'Na2 Sm6 Ge2 S14'
_space_group_name_H-M_alt 'P 63'
_space_group_IT_number 173
_space_group_name_Hall 'P 6c'
_cell_length_a 10.1498
_cell_length_b 10.1498
_cell_length_c 5.8728
_cell_angle_alpha 90.00
_cell_angle_beta 90.00
_cell_angle_gamma 120.00
loop_
_atom_site_label
_atom_site_fract_x
_atom_site_fract_y
_atom_site_fract_z
_atom_site_occupancy
Na1 0.0000 0.0000 0.0000 1
Sm1 0.1332 0.3613 0.2776 1
Ge1 0.3333 0.6667 0.8594 1
S1 0.0977 0.2601 0.7441 1
S2 0.1029 0.5824 0.0169 1
S3 0.3333 0.6667 0.4824 1
```

***

Entry 3:
This entry pairs a crystal structure of Na2ZnGe2S6 with its simulated powder X-ray diffraction pattern. Radiation: λ = 1.5418 Å (Cu Kα). Structure: a DFT-relaxed cell (GGA-PBE, the Materials Project).
Intensities are scaled so that the largest is 100.

Main lines, in order of rising 2θ (2θ from 10° to 90°):
| h k l | 2θ/deg | d/Å | I (rel.) |
| --- | --- | --- | --- |
| 1 1 0 | 14.06 | 6.297 | 100 |
| 1 1 -1 | 14.92 | 5.938 | 81 |
| 0 2 1 | 16.11 | 5.503 | 35 |
| 1 3 0 | 24.54 | 3.628 | 37 |
| 1 1 -3 | 25.26 | 3.526 | 35 |
| 1 3 1 | 26.46 | 3.369 | 38 |
| 1 3 -2 | 27.87 | 3.202 | 41 |
| 0 4 0 | 28.39 | 3.144 | 32 |
| 1 1 3 | 29.26 | 3.052 | 42 |
| 2 2 1 | 30.64 | 2.918 | 32 |
| 0 0 4 | 31.25 | 2.862 | 33 |
| 1 1 -4 | 32.20 | 2.780 | 28 |

Cell and atoms:
```
data_Na2ZnGe2S6
_chemical_formula_sum 'Na8 Zn4 Ge8 S24'
_space_group_name_H-M_alt 'C 1 c 1'
_space_group_IT_number 9
_space_group_name_Hall 'C -2yc'
_cell_length_a 7.4102
_cell_length_b 12.5514
_cell_length_c 11.6534
_cell_angle_alpha 90.00
_cell_angle_beta 100.77
_cell_angle_gamma 90.00
loop_
_atom_site_label
_atom_site_fract_x
_atom_site_fract_y
_atom_site_fract_z
_atom_site_occupancy
Na1 0.0000 0.0100 0.0000 1
Na2 0.1061 0.3001 0.6324 1
Zn1 0.1656 0.2440 0.2963 1
Ge1 0.0422 0.3583 0.0196 1
Ge2 0.3704 0.0234 0.7694 1
S1 0.1087 0.0587 0.2773 1
S2 0.1271 0.4307 0.8583 1
S3 0.2942 0.3319 0.1493 1
S4 0.3587 0.2807 0.4779 1
S5 0.3718 0.1917 0.8184 1
S6 0.3917 0.0023 0.0782 1
```

***

Entry 4:
This entry pairs a crystal structure of Na3GeSe3 with its simulated powder X-ray diffraction pattern. Radiation: λ = 1.5418 Å (Cu Kα). Structure: a DFT-relaxed cell (GGA-PBE, the Materials Project).
Intensities are scaled so that the largest is 100.

Main lines, in order of rising 2θ (2θ from 10° to 90°):
| h k l | 2θ/deg | d/Å | I (rel.) |
| --- | --- | --- | --- |
| 0 1 1 | 14.19 | 6.242 | 100 |
| 0 2 0 | 14.67 | 6.040 | 29 |
| 2 1 -1 | 22.28 | 3.991 | 50 |
| 2 0 0 | 24.07 | 3.698 | 44 |
| 1 3 0 | 25.18 | 3.536 | 30 |
| 1 3 1 | 30.53 | 2.928 | 68 |
| 1 3 -2 | 30.83 | 2.900 | 28 |
| 1 4 0 | 32.05 | 2.793 | 49 |
| 3 1 -1 | 33.05 | 2.710 | 28 |
| 2 1 -3 | 33.61 | 2.667 | 45 |
| 4 1 -3 | 45.57 | 1.990 | 36 |
| 0 6 1 | 46.78 | 1.942 | 29 |

Cell and atoms:
```
data_Na3GeSe3
_chemical_formula_sum 'Na12 Ge4 Se12'
_space_group_name_H-M_alt 'P 1 21/c 1'
_space_group_IT_number 14
_space_group_name_Hall '-P 2ybc'
_cell_length_a 8.4585
_cell_length_b 12.0799
_cell_length_c 8.3624
_cell_angle_alpha 90.00
_cell_angle_beta 119.04
_cell_angle_gamma 90.00
loop_
_atom_site_label
_atom_site_fract_x
_atom_site_fract_y
_atom_site_fract_z
_atom_site_occupancy
Na1 0.0048 0.1621 0.0237 1
Na2 0.2288 0.0585 0.5152 1
Na3 0.4686 0.7301 0.2254 1
Ge1 0.3403 0.0101 0.9629 1
Se1 0.1613 0.6186 0.2272 1
Se2 0.2539 0.1977 0.8675 1
Se3 0.3296 0.5308 0.7358 1
```

***

Entry 5:
This entry pairs a crystal structure of Na6Ge2Se7 with its simulated powder X-ray diffraction pattern. Radiation: λ = 1.5418 Å (Cu Kα). Structure: a DFT-relaxed cell (GGA-PBE, the Materials Project).
Intensities are scaled so that the largest is 100.

Main lines, in order of rising 2θ (2θ from 10° to 90°):
| h k l | 2θ/deg | d/Å | I (rel.) |
| --- | --- | --- | --- |
| 1 1 -2 | 15.20 | 5.828 | 92 |
| 0 2 1 | 16.97 | 5.224 | 46 |
| 1 1 2 | 18.42 | 4.818 | 78 |
| 2 0 -2 | 19.75 | 4.494 | 52 |
| 1 1 3 | 23.03 | 3.861 | 100 |
| 0 2 4 | 27.98 | 3.188 | 61 |
| 3 1 -1 | 29.22 | 3.056 | 68 |
| 3 1 -2 | 29.52 | 3.026 | 59 |
| 1 3 -3 | 29.86 | 2.992 | 95 |
| 0 2 5 | 32.96 | 2.718 | 77 |
| 3 3 -5 | 43.42 | 2.084 | 67 |
| 2 4 3 | 43.82 | 2.066 | 32 |

Cell and atoms:
```
data_Na6Ge2Se7
_chemical_formula_sum 'Na24 Ge8 Se28'
_space_group_name_H-M_alt 'C 1 2/c 1'
_space_group_IT_number 15
_space_group_name_Hall '-C 2yc'
_cell_length_a 9.5503
_cell_length_b 11.0890
_cell_length_c 16.0827
_cell_angle_alpha 90.00
_cell_angle_beta 104.24
_cell_angle_gamma 90.00
loop_
_atom_site_label
_atom_site_fract_x
_atom_site_fract_y
_atom_site_fract_z
_atom_site_occupancy
Na1 0.0000 0.0000 0.0000 1
Na2 0.0000 0.0802 0.2500 1
Na3 0.1163 0.3529 0.5713 1
Na4 0.2316 0.2233 0.8587 1
Ge1 0.1583 0.4177 0.3602 1
Se1 0.0000 0.4606 0.7500 1
Se2 0.0511 0.2388 0.3956 1
Se3 0.1240 0.1279 0.6798 1
Se4 0.1968 0.4335 0.9711 1
```

***

Entry 6:
This entry pairs a crystal structure of Na2GeSe3 with its simulated powder X-ray diffraction pattern. Radiation: λ = 1.5418 Å (Cu Kα). Structure: a DFT-relaxed cell (GGA-PBE, the Materials Project).
Intensities are scaled so that the largest is 100.

Main lines, in order of rising 2θ (2θ from 10° to 90°):
| h k l | 2θ/deg | d/Å | I (rel.) |
| --- | --- | --- | --- |
| 0 2 0 | 10.78 | 8.206 | 30 |
| 1 0 0 | 13.45 | 6.585 | 63 |
| 0 2 1 | 19.11 | 4.645 | 28 |
| 1 2 -1 | 19.38 | 4.581 | 28 |
| 0 3 1 | 22.66 | 3.925 | 54 |
| 2 1 0 | 27.63 | 3.228 | 36 |
| 1 0 -2 | 29.01 | 3.078 | 100 |
| 2 2 0 | 29.23 | 3.056 | 47 |
| 1 5 0 | 30.43 | 2.938 | 42 |
| 3 1 -2 | 41.06 | 2.198 | 25 |
| 0 5 2 | 42.23 | 2.140 | 43 |
| 2 6 0 | 43.01 | 2.103 | 23 |

Cell and atoms:
```
data_Na2GeSe3
_chemical_formula_sum 'Na8 Ge4 Se12'
_space_group_name_H-M_alt 'P 1 21/c 1'
_space_group_IT_number 14
_space_group_name_Hall '-P 2ybc'
_cell_length_a 7.1976
_cell_length_b 16.4128
_cell_length_c 6.1580
_cell_angle_alpha 90.00
_cell_angle_beta 113.81
_cell_angle_gamma 90.00
loop_
_atom_site_label
_atom_site_fract_x
_atom_site_fract_y
_atom_site_fract_z
_atom_site_occupancy
Na1 0.0707 0.1671 0.0298 1
Na2 0.2846 0.5238 0.1674 1
Ge1 0.4716 0.1702 0.6600 1
Se1 0.1237 0.1470 0.5556 1
Se2 0.3039 0.5619 0.6628 1
Se3 0.4418 0.6934 0.1782 1
```